[1]
For AlIr2Rh6, a cell relaxed with PBE gives the computed X-ray diffraction stick pattern in this record (Cu Ka).

Most intense lines, 15° ≤ 2θ ≤ 90°, by angle:
| 2theta | d/Å | intensity |
| --- | --- | --- |
| 17.77 | 4.991 | 51 |
| 29.09 | 3.069 | 37 |
| 36.32 | 2.473 | 20 |
| 40.29 | 2.238 | 100 |
| 42.02 | 2.150 | 84 |
| 42.62 | 2.121 | 25 |
| 48.56 | 1.875 | 31 |
| 52.14 | 1.754 | 37 |
| 74.01 | 1.281 | 22 |
| 84.43 | 1.147 | 22 |

Structure:
a b c (Å): 7.701 7.701 7.701
angles (deg): 151.82 139.39 50.16
Fractional positions:
Al 0.000 0.000 0.000
Ir 0.302 0.802 0.500
Ir 0.497 0.997 0.500
Rh 0.145 0.401 0.744
Rh 0.338 0.596 0.742
Rh 0.489 0.216 0.273
Rh 0.658 0.401 0.256
Rh 0.854 0.596 0.258
Rh 0.943 0.216 0.727

***

[2]
For AlIr2S4, a cell relaxed with PBE gives the computed X-ray diffraction stick pattern in this record (Cu Ka).

Most intense lines, 15° ≤ 2θ ≤ 90°, by angle:
| 2theta | d/Å | intensity |
| --- | --- | --- |
| 16.33 | 5.429 | 100 |
| 23.17 | 3.839 | 39 |
| 33.00 | 2.714 | 20 |
| 37.03 | 2.428 | 20 |
| 37.21 | 2.416 | 28 |
| 40.88 | 2.208 | 24 |
| 47.51 | 1.914 | 13 |
| 50.57 | 1.805 | 32 |
| 53.37 | 1.717 | 15 |
| 71.79 | 1.315 | 8 |

Structure:
a b c (Å): 6.062 6.062 6.062
angles (deg): 101.43 101.43 127.14
Fractional positions:
Al 0.000 0.000 0.000
Ir 0.250 0.750 0.500
Ir 0.750 0.250 0.500
S 0.118 0.713 0.831
S 0.287 0.118 0.404
S 0.713 0.882 0.596
S 0.882 0.287 0.169

***

[3]
For Sc5AlIr, a cell relaxed with PBE gives the computed X-ray diffraction stick pattern in this record (Cu Ka).

Most intense lines, 15° ≤ 2θ ≤ 90°, by angle:
| 2theta | d/Å | intensity |
| --- | --- | --- |
| 16.15 | 5.488 | 48 |
| 17.15 | 5.170 | 100 |
| 21.74 | 4.087 | 42 |
| 25.40 | 3.507 | 41 |
| 34.70 | 2.585 | 49 |
| 35.85 | 2.505 | 48 |
| 37.80 | 2.380 | 30 |
| 39.46 | 2.284 | 27 |
| 40.08 | 2.250 | 34 |
| 41.67 | 2.167 | 30 |

Structure:
a b c (Å): 5.256 5.256 11.262
angles (deg): 99.54 99.54 84.50
Fractional positions:
Sc 0.016 0.984 0.750
Sc 0.081 0.433 0.624
Sc 0.197 0.512 0.921
Sc 0.433 0.081 0.124
Sc 0.488 0.803 0.579
Sc 0.512 0.197 0.421
Sc 0.567 0.919 0.876
Sc 0.803 0.488 0.079
Sc 0.919 0.567 0.376
Sc 0.984 0.016 0.250
Al 0.386 0.614 0.250
Al 0.614 0.386 0.750
Ir 0.000 0.000 0.000
Ir 0.000 0.000 0.500